No. 1
For Dy12Co5Sn, a DFT-relaxed cell (GGA-PBE, the Materials Project) gives the computed powder diffraction line list in this record (copper Kα).
No peak broadening, texture or thermal motion is included.

Structural model:
Lattice parameters (Å, degrees): 9.464 9.524 9.917 90.00 90.00 90.00
Space group Immm (No. 71)
Inequivalent atoms, fractional coordinates:
Dy1 0.000 0.196 0.212 x8
Dy2 0.196 0.500 0.186 x8
Dy3 0.212 0.316 0.500 x8
Co1 0.000 0.000 0.000 x2
Co2 0.000 0.378 0.000 x4
Co3 0.000 0.500 0.387 x4
Sn1 0.000 0.000 0.500 x2

Top 10 peaks for 2θ from 10° to 90°, by intensity:
d/Å	intensity	(hkl)
2.780	100	2 2 2
2.607	51	2 1 3
2.545	45	3 2 1
2.573	45	1 3 2
1.545	27	5 3 2
2.995	26	3 1 0
3.024	25	0 3 1
3.122	23	1 0 3
2.366	21	4 0 0
1.682	19	0 3 5


No. 2
For RbAuO, a DFT-relaxed cell (GGA-PBE, the Materials Project) gives the computed powder diffraction line list in this record (copper Kα).
No peak broadening, texture or thermal motion is included.

Structural model:
Lattice parameters (Å, degrees): 10.146 10.146 5.947 90.00 90.00 90.00
Space group I4/mmm (No. 139)
Inequivalent atoms, fractional coordinates:
Rb1 0.000 0.307 0.000 x8
Au1 0.148 0.148 0.500 x8
O1 0.000 0.287 0.500 x8

Top 10 peaks for 2θ from 10° to 90°, by intensity:
d/Å	intensity	(hkl)
2.940	100	3 0 1
5.131	55	1 0 1
2.974	37	0 0 2
2.392	30	3 3 0
1.864	29	3 3 2
1.710	21	3 0 3
1.466	16	6 3 1
3.209	14	3 1 0
1.921	14	4 3 1
2.274	12	4 1 1


No. 3
For Nd2MgSe4, a DFT-relaxed cell (GGA-PBE, the Materials Project) gives the computed powder diffraction line list in this record (copper Kα).
No peak broadening, texture or thermal motion is included.

Structural model:
Lattice parameters (Å, degrees): 13.488 4.139 14.665 90.00 90.00 90.00
Space group Pnma (No. 62)
Inequivalent atoms, fractional coordinates:
Nd1 0.119 0.250 0.074 x4
Nd2 0.136 0.250 0.705 x4
Mg1 0.107 0.750 0.461 x4
Se1 0.002 0.750 0.614 x4
Se2 0.028 0.250 0.883 x4
Se3 0.225 0.250 0.247 x4
Se4 0.233 0.250 0.514 x4

Top 10 peaks for 2θ from 10° to 90°, by intensity:
d/Å	intensity	(hkl)
3.528	100	2 1 0
2.812	90	3 1 2
3.221	70	2 0 4
6.442	68	1 0 2
2.982	52	3 1 1
3.958	49	2 0 3
2.305	46	4 1 3
2.069	42	0 2 0
2.079	40	1 1 6
2.357	39	1 1 5


No. 4
For CrGeTe3, a DFT-relaxed cell (GGA-PBE, the Materials Project) gives the computed powder diffraction line list in this record (copper Kα).
No peak broadening, texture or thermal motion is included.

Structural model:
Lattice parameters (Å, degrees): 6.9129 6.9129 21.8184 90.00 90.00 120.00
Space group R-3 (No. 148, hexagonal axes)
Inequivalent atoms, fractional coordinates:
Cr1 0.0000 0.0000 0.1664 x6
Ge1 0.0000 0.0000 0.4446 x6
Te1 0.0006 0.3733 0.4211 x18

Top 10 peaks for 2θ from 10° to 90°, by intensity:
d/Å	intensity	(hkl)
3.122	100	1 1 3
3.636	31	0 0 6
1.996	27	3 0 0
1.985	24	2 -1 9
2.505	22	1 1 6
7.273	20	0 0 3
1.749	16	3 0 6
1.681	12	4 -2 3
2.966	10	0 2 1
1.344	7	3 0 12